Diffraction record for Eu3MoO7. The X-ray powder pattern is computed, not measured: it uses a structure optimized by DFT (GGA+U) and Cu Kα X-rays.
Peak positions follow from Bragg's law for the DFT cell and can differ from measured ones.

Largest 8 diffraction maxima, in order of falling intensity, 10 to 90 degrees two-theta:
28.30°, rel. 100; 28.72°, rel. 91; 47.38°, rel. 49; 33.10°, rel. 44; 55.99°, rel. 38; 32.92°, rel. 23; 56.69°, rel. 18; 46.97°, rel. 17

Structural model:
```
Eu3MoO7
1.0
7.5761 0.0000 0.0000
0.0000 7.7380 0.0000
0.0000 0.0000 10.8819
Eu Mo O
12 4 28
direct
0.0269 0.0053 0.2503
0.2133 0.2474 0.5185
0.2131 0.2484 0.9818
0.2869 0.7516 0.4818
0.2867 0.7526 0.0185
0.4731 0.9947 0.7503
0.5269 0.4947 0.7497
0.7131 0.2516 0.0182
0.7133 0.2526 0.4815
0.7867 0.7474 0.9815
0.7869 0.7484 0.5182
0.9731 0.5053 0.2497
0.0033 0.4796 0.7501
0.4967 0.5204 0.2501
0.5033 0.0204 0.2499
0.9967 0.9796 0.7499
0.0202 0.7522 0.1166
0.0210 0.7517 0.3848
0.0652 0.2486 0.7511
0.1621 0.5370 0.8784
0.1651 0.5354 0.6233
0.1892 0.9681 0.8711
0.1910 0.9689 0.6298
0.3090 0.0311 0.1298
0.3108 0.0319 0.3711
0.3349 0.4646 0.1233
0.3379 0.4630 0.3784
0.4348 0.7514 0.2511
0.4790 0.2483 0.8848
0.4798 0.2478 0.6166
0.5202 0.7478 0.8834
0.5210 0.7483 0.6152
0.5652 0.2514 0.2489
0.6621 0.9630 0.1216
0.6651 0.9646 0.3767
0.6892 0.5319 0.1289
0.6910 0.5311 0.3702
0.8090 0.4689 0.8702
0.8108 0.4681 0.6289
0.8349 0.0354 0.8767
0.8379 0.0370 0.6216
0.9348 0.7486 0.7489
0.9790 0.2517 0.1152
0.9798 0.2522 0.3834
```